# 1
# SiC
Computed X-ray powder pattern, a wavelength of 1.5418 Å. Input: a structure optimized by DFT (PBE).

Structural model:
Cell: 3.0949 3.0949 15.1845 Å, 90.00 90.00 120.00°
Space group P6_3mc (No. 186)
Symmetry-distinct sites (fractional):
Si  0.0000  0.0000  0.0000
Si  0.3333  0.6667  0.1668
Si  0.3333  0.6667  0.8333
C  0.0000  0.0000  0.3746
C  0.3333  0.6667  0.0418
C  0.3333  0.6667  0.7083

Largest 8 diffraction maxima, in order of falling intensity, 2θ = 5–70°:
- 2θ = 35.5°, rel. 100, hkl 0 0 6
- 2θ = 59.7°, rel. 55, hkl 1 1 0
- 2θ = 38.0°, rel. 36, hkl 1 0 3
- 2θ = 34.0°, rel. 33, hkl 1 0 1
- 2θ = 65.4°, rel. 17, hkl 1 0 9
- 2θ = 41.2°, rel. 14, hkl 1 0 4
- 2θ = 54.4°, rel. 7, hkl 1 0 7
- 2θ = 45.1°, rel. 6, hkl 1 0 5

---

# 2
# HgI2O6
Computed X-ray powder pattern, a wavelength of 1.5418 Å. Input: a structure optimized by DFT (PBE).

Structural model:
Cell: 5.971 5.624 9.164 Å, 90.00 102.40 90.00°
Space group P2_1 (No. 4)
Symmetry-distinct sites (fractional):
Hg  0.067  0.000  0.173
I  0.268  0.493  0.572
I  0.422  0.524  0.150
O  0.029  0.690  0.588
O  0.170  0.331  0.066
O  0.240  0.318  0.740
O  0.292  0.675  0.292
O  0.336  0.754  0.006
O  0.488  0.188  0.349

Largest 8 diffraction maxima, in order of falling intensity, 2θ = 5–70°:
- 2θ = 25.5°, rel. 100, hkl 1 1 1
- 2θ = 27.4°, rel. 82, hkl 1 1 -2
- 2θ = 31.8°, rel. 30, hkl 0 2 0
- 2θ = 18.6°, rel. 30, hkl 0 1 1
- 2θ = 27.6°, rel. 27, hkl 1 0 2
- 2θ = 34.7°, rel. 27, hkl 2 1 0
- 2θ = 44.3°, rel. 25, hkl 0 2 3
- 2θ = 50.9°, rel. 21, hkl 2 1 3

---

# 3
# AgPd3Se
Computed X-ray powder pattern, a wavelength of 1.5418 Å. Input: a structure optimized by DFT (PBE).

Structural model:
Cell: 8.776 8.776 8.776 Å, 90.00 90.00 90.00°
Space group Pa-3 (No. 205)
Symmetry-distinct sites (fractional):
Ag  0.094  0.094  0.094
Pd  0.087  0.723  0.138
Se  0.123  0.623  0.877

Largest 8 diffraction maxima, in order of falling intensity, 2θ = 5–70°:
- 2θ = 38.4°, rel. 100, hkl 3 2 1
- 2θ = 36.9°, rel. 72, hkl 3 0 2
- 2θ = 65.6°, rel. 33, hkl 5 3 2
- 2θ = 41.1°, rel. 24, hkl 4 0 0
- 2θ = 47.5°, rel. 20, hkl 4 2 1
- 2θ = 42.5°, rel. 17, hkl 4 1 0
- 2θ = 68.5°, rel. 16, hkl 6 2 1
- 2θ = 33.9°, rel. 9, hkl 3 1 1

---

# 4
# LaGaAu2
Computed X-ray powder pattern, a wavelength of 1.5418 Å. Input: a structure optimized by DFT (PBE).

Structural model:
Cell: 7.141 7.141 7.141 Å, 90.00 90.00 90.00°
Space group Fm-3m (No. 225)
Symmetry-distinct sites (fractional):
La  0.000  0.000  0.000
Ga  0.000  0.000  0.500
Au  0.250  0.250  0.250

Largest 8 diffraction maxima, in order of falling intensity, 2θ = 5–70°:
- 2θ = 35.6°, rel. 100, hkl 2 2 0
- 2θ = 63.9°, rel. 37, hkl 4 2 2
- 2θ = 51.2°, rel. 18, hkl 4 0 0
- 2θ = 24.9°, rel. 11, hkl 2 0 0
- 2θ = 57.7°, rel. 5, hkl 4 2 0
- 2θ = 43.9°, rel. 4, hkl 2 2 2
- 2θ = 21.6°, rel. 3, hkl 1 1 1
- 2θ = 42.0°, rel. 1, hkl 3 1 1

---

# 5
# KMg14Zn
Computed X-ray powder pattern, a wavelength of 1.5418 Å. Input: a structure optimized by DFT (PBE).

Structural model:
Cell: 6.4953 6.4953 10.5077 Å, 90.00 90.00 120.00°
Space group P-6m2 (No. 187)
Symmetry-distinct sites (fractional):
K  0.0000  0.0000  0.0000
Mg  0.0075  0.5037  0.0000
Mg  0.1686  0.3372  0.2673
Mg  0.5018  0.0035  0.5000
Mg  0.6667  0.3333  0.2454
Zn  0.0000  0.0000  0.5000

Largest 8 diffraction maxima, in order of falling intensity, 2θ = 5–70°:
- 2θ = 36.2°, rel. 100, hkl 2 0 2
- 2θ = 31.8°, rel. 25, hkl 2 0 0
- 2θ = 34.1°, rel. 25, hkl 0 0 4
- 2θ = 67.9°, rel. 18, hkl 2 2 4
- 2θ = 56.7°, rel. 17, hkl 2 2 0
- 2θ = 62.5°, rel. 17, hkl 2 0 6
- 2θ = 47.4°, rel. 15, hkl 2 0 4
- 2θ = 69.2°, rel. 13, hkl 4 0 2

---

# 6
# TlCl
Computed X-ray powder pattern, a wavelength of 1.5418 Å. Input: a structure optimized by DFT (PBE).

Structural model:
Cell: 6.532 6.532 6.532 Å, 90.00 90.00 90.00°
Space group Fm-3m (No. 225)
Symmetry-distinct sites (fractional):
Tl  0.000  0.000  0.000
Cl  0.000  0.000  0.500

Largest 8 diffraction maxima, in order of falling intensity, 2θ = 5–70°:
- 2θ = 27.3°, rel. 100, hkl 2 0 0
- 2θ = 23.6°, rel. 88, hkl 1 1 1
- 2θ = 39.0°, rel. 77, hkl 2 2 0
- 2θ = 46.1°, rel. 49, hkl 3 1 1
- 2θ = 63.7°, rel. 36, hkl 4 2 0
- 2θ = 48.3°, rel. 28, hkl 2 2 2
- 2θ = 61.9°, rel. 21, hkl 3 3 1
- 2θ = 56.3°, rel. 13, hkl 4 0 0